1.
# BaNd2Au
Calculated powder X-ray diffraction pattern, a wavelength of 1.5418 Å. Input: a PBE-relaxed structure.

Structural model:
```
data_BaNd2Au
_chemical_formula_sum 'Ba1 Nd2 Au1'
_symmetry_space_group_name_H-M 'P 1'
_symmetry_Int_Tables_number 1
_cell_length_a 3.823
_cell_length_b 3.823
_cell_length_c 9.823
_cell_angle_alpha 90.00
_cell_angle_beta 90.00
_cell_angle_gamma 90.00
loop_
_symmetry_equiv_pos_as_xyz
'x,y,z'
loop_
_atom_site_label
_atom_site_type_symbol
_atom_site_fract_x
_atom_site_fract_y
_atom_site_fract_z
Ba1 Ba 0.000 0.000 0.000
Nd1 Nd 0.500 0.500 0.329
Nd2 Nd 0.500 0.500 0.671
Au1 Au 0.000 0.000 0.500
```

Main lines, most intense first (10 to 90 degrees two-theta):
2θ 29.61, intensity 100.0
2θ 33.14, intensity 60.1
2θ 57.04, intensity 31.7
2θ 36.12, intensity 31.4
2θ 43.82, intensity 29.1
2θ 47.57, intensity 21.9
2θ 66.66, intensity 17.1
2θ 66.81, intensity 15.8
2θ 61.15, intensity 13.8
2θ 34.41, intensity 11.9

---

2.
# NiGe4Ir
Calculated powder X-ray diffraction pattern, a wavelength of 1.5418 Å. Input: a PBE-relaxed structure.

Structural model:
```
data_NiGe4Ir
_chemical_formula_sum 'Ni2 Ge8 Ir2'
_symmetry_space_group_name_H-M 'P 1'
_symmetry_Int_Tables_number 1
_cell_length_a 6.506
_cell_length_b 6.565
_cell_length_c 4.612
_cell_angle_alpha 90.00
_cell_angle_beta 90.00
_cell_angle_gamma 90.00
loop_
_symmetry_equiv_pos_as_xyz
'x,y,z'
loop_
_atom_site_label
_atom_site_type_symbol
_atom_site_fract_x
_atom_site_fract_y
_atom_site_fract_z
Ni1 Ni 0.000 0.000 0.000
Ni2 Ni 0.500 0.500 0.000
Ge1 Ge 0.140 0.133 0.500
Ge2 Ge 0.152 0.368 0.000
Ge3 Ge 0.348 0.868 0.000
Ge4 Ge 0.360 0.633 0.500
Ge5 Ge 0.640 0.367 0.500
Ge6 Ge 0.652 0.132 0.000
Ge7 Ge 0.848 0.632 0.000
Ge8 Ge 0.860 0.867 0.500
Ir1 Ir 0.000 0.500 0.500
Ir2 Ir 0.500 0.000 0.500
```

Main lines, most intense first (10 to 90 degrees two-theta):
2θ 48.41, intensity 100.0
2θ 39.04, intensity 99.2
2θ 48.10, intensity 78.5
2θ 36.32, intensity 61.7
2θ 27.35, intensity 56.4
2θ 19.22, intensity 55.0
2θ 30.67, intensity 39.7
2θ 77.48, intensity 31.9
2θ 27.17, intensity 29.1
2θ 56.37, intensity 20.8

---

3.
# Li3Ca3Ga2
Calculated powder X-ray diffraction pattern, a wavelength of 1.5418 Å. Input: a PBE-relaxed structure.

Structural model:
```
data_Li3Ca3Ga2
_chemical_formula_sum 'Li12 Ca12 Ga8'
_symmetry_space_group_name_H-M 'P 1'
_symmetry_Int_Tables_number 1
_cell_length_a 8.282
_cell_length_b 16.330
_cell_length_c 5.969
_cell_angle_alpha 90.00
_cell_angle_beta 90.00
_cell_angle_gamma 90.00
loop_
_symmetry_equiv_pos_as_xyz
'x,y,z'
loop_
_atom_site_label
_atom_site_type_symbol
_atom_site_fract_x
_atom_site_fract_y
_atom_site_fract_z
Li1 Li 0.169 0.035 0.098
Li2 Li 0.169 0.465 0.098
Li3 Li 0.169 0.750 0.124
Li4 Li 0.331 0.250 0.624
Li5 Li 0.331 0.535 0.598
Li6 Li 0.331 0.965 0.598
Li7 Li 0.669 0.035 0.402
Li8 Li 0.669 0.465 0.402
Li9 Li 0.669 0.750 0.376
Li10 Li 0.831 0.250 0.876
Li11 Li 0.831 0.535 0.902
Li12 Li 0.831 0.965 0.902
Ca1 Ca 0.033 0.104 0.621
Ca2 Ca 0.033 0.396 0.621
Ca3 Ca 0.159 0.250 0.152
Ca4 Ca 0.341 0.750 0.652
Ca5 Ca 0.467 0.604 0.121
Ca6 Ca 0.467 0.896 0.121
Ca7 Ca 0.533 0.104 0.879
Ca8 Ca 0.533 0.396 0.879
Ca9 Ca 0.659 0.250 0.348
Ca10 Ca 0.841 0.750 0.848
Ca11 Ca 0.967 0.604 0.379
Ca12 Ca 0.967 0.896 0.379
Ga1 Ga 0.122 0.609 0.872
Ga2 Ga 0.122 0.891 0.872
Ga3 Ga 0.378 0.109 0.372
Ga4 Ga 0.378 0.391 0.372
Ga5 Ga 0.622 0.609 0.628
Ga6 Ga 0.622 0.891 0.628
Ga7 Ga 0.878 0.109 0.128
Ga8 Ga 0.878 0.391 0.128
```

Main lines, most intense first (10 to 90 degrees two-theta):
2θ 34.31, intensity 100.0
2θ 32.35, intensity 92.6
2θ 35.99, intensity 86.1
2θ 21.77, intensity 79.9
2θ 24.61, intensity 76.2
2θ 27.05, intensity 63.1
2θ 50.89, intensity 58.5
2θ 15.81, intensity 55.8
2θ 35.84, intensity 43.8
2θ 38.93, intensity 43.5

---

4.
# Dy6Ru2Rh
Calculated powder X-ray diffraction pattern, a wavelength of 1.5418 Å. Input: a PBE-relaxed structure.

Structural model:
```
data_Dy6Ru2Rh
_chemical_formula_sum 'Dy12 Ru4 Rh2'
_symmetry_space_group_name_H-M 'P 1'
_symmetry_Int_Tables_number 1
_cell_length_a 6.607
_cell_length_b 7.265
_cell_length_c 11.372
_cell_angle_alpha 90.00
_cell_angle_beta 123.23
_cell_angle_gamma 90.00
loop_
_symmetry_equiv_pos_as_xyz
'x,y,z'
loop_
_atom_site_label
_atom_site_type_symbol
_atom_site_fract_x
_atom_site_fract_y
_atom_site_fract_z
Dy1 Dy 0.074 0.040 0.239
Dy2 Dy 0.074 0.460 0.739
Dy3 Dy 0.224 0.669 0.074
Dy4 Dy 0.224 0.831 0.574
Dy5 Dy 0.396 0.170 0.073
Dy6 Dy 0.396 0.330 0.573
Dy7 Dy 0.604 0.670 0.427
Dy8 Dy 0.604 0.830 0.927
Dy9 Dy 0.776 0.169 0.426
Dy10 Dy 0.776 0.331 0.926
Dy11 Dy 0.926 0.540 0.261
Dy12 Dy 0.926 0.960 0.761
Ru1 Ru 0.316 0.135 0.783
Ru2 Ru 0.316 0.365 0.283
Ru3 Ru 0.684 0.635 0.717
Ru4 Ru 0.684 0.865 0.217
Rh1 Rh 0.500 0.000 0.500
Rh2 Rh 0.500 0.500 0.000
```

Main lines, most intense first (10 to 90 degrees two-theta):
2θ 29.75, intensity 100.0
2θ 30.79, intensity 70.3
2θ 31.54, intensity 59.1
2θ 33.58, intensity 50.5
2θ 31.79, intensity 50.4
2θ 39.64, intensity 49.5
2θ 34.17, intensity 48.6
2θ 37.68, intensity 44.7
2θ 30.93, intensity 42.0
2θ 46.49, intensity 32.9

---

5.
# BaLiPu2Te4
Calculated powder X-ray diffraction pattern, a wavelength of 1.5418 Å. Input: a PBE-relaxed structure.

Structural model:
```
data_BaLiPu2Te4
_chemical_formula_sum 'Ba2 Li2 Pu4 Te8'
_symmetry_space_group_name_H-M 'P 1'
_symmetry_Int_Tables_number 1
_cell_length_a 7.849
_cell_length_b 7.849
_cell_length_c 15.604
_cell_angle_alpha 90.00
_cell_angle_beta 90.00
_cell_angle_gamma 146.03
loop_
_symmetry_equiv_pos_as_xyz
'x,y,z'
loop_
_atom_site_label
_atom_site_type_symbol
_atom_site_fract_x
_atom_site_fract_y
_atom_site_fract_z
Ba1 Ba 0.118 0.882 0.750
Ba2 Ba 0.882 0.118 0.250
Li1 Li 0.151 0.849 0.250
Li2 Li 0.849 0.151 0.750
Pu1 Pu 0.369 0.631 0.559
Pu2 Pu 0.369 0.631 0.941
Pu3 Pu 0.631 0.369 0.059
Pu4 Pu 0.631 0.369 0.441
Te1 Te 0.000 0.000 0.000
Te2 Te 0.000 0.000 0.500
Te3 Te 0.266 0.734 0.115
Te4 Te 0.266 0.734 0.385
Te5 Te 0.444 0.556 0.750
Te6 Te 0.556 0.444 0.250
Te7 Te 0.734 0.266 0.615
Te8 Te 0.734 0.266 0.885
```

Main lines, most intense first (10 to 90 degrees two-theta):
2θ 28.78, intensity 100.0
2θ 26.98, intensity 87.8
2θ 39.29, intensity 64.9
2θ 20.78, intensity 64.7
2θ 35.30, intensity 62.5
2θ 39.85, intensity 47.9
2θ 25.74, intensity 47.4
2θ 39.98, intensity 39.8
2θ 11.34, intensity 37.1
2θ 26.36, intensity 37.1

---

6.
# Pr2ThPt3
Calculated powder X-ray diffraction pattern, a wavelength of 1.5418 Å. Input: a PBE-relaxed structure.

Structural model:
```
data_Pr2ThPt3
_chemical_formula_sum 'Pr8 Th4 Pt12'
_symmetry_space_group_name_H-M 'P 1'
_symmetry_Int_Tables_number 1
_cell_length_a 13.957
_cell_length_b 13.308
_cell_length_c 7.314
_cell_angle_alpha 79.40
_cell_angle_beta 69.59
_cell_angle_gamma 31.01
loop_
_symmetry_equiv_pos_as_xyz
'x,y,z'
loop_
_atom_site_label
_atom_site_type_symbol
_atom_site_fract_x
_atom_site_fract_y
_atom_site_fract_z
Pr1 Pr 0.042 0.042 0.208
Pr2 Pr 0.125 0.125 0.625
Pr3 Pr 0.208 0.208 0.042
Pr4 Pr 0.375 0.375 0.875
Pr5 Pr 0.625 0.625 0.125
Pr6 Pr 0.792 0.792 0.958
Pr7 Pr 0.875 0.875 0.375
Pr8 Pr 0.958 0.958 0.792
Th1 Th 0.291 0.291 0.459
Th2 Th 0.459 0.459 0.291
Th3 Th 0.541 0.541 0.709
Th4 Th 0.709 0.709 0.541
Pt1 Pt 0.040 0.539 0.219
Pt2 Pt 0.135 0.615 0.615
Pt3 Pt 0.219 0.701 0.040
Pt4 Pt 0.299 0.781 0.461
Pt5 Pt 0.385 0.865 0.865
Pt6 Pt 0.461 0.960 0.299
Pt7 Pt 0.539 0.040 0.701
Pt8 Pt 0.615 0.135 0.135
Pt9 Pt 0.701 0.219 0.539
Pt10 Pt 0.781 0.299 0.960
Pt11 Pt 0.865 0.385 0.385
Pt12 Pt 0.960 0.461 0.781
```

Main lines, most intense first (10 to 90 degrees two-theta):
2θ 29.96, intensity 100.0
2θ 42.88, intensity 50.6
2θ 70.60, intensity 23.2
2θ 53.07, intensity 13.7
2θ 53.30, intensity 13.5
2θ 78.71, intensity 12.9
2θ 78.39, intensity 12.9
2θ 42.74, intensity 12.7
2θ 62.25, intensity 12.6
2θ 43.01, intensity 12.6